(1)
# Li2CuSiO4
Computed powder X-ray diffraction pattern, λ = 1.5418 Å (Cu Kα). Input: a DFT-relaxed cell (PBE, the Materials Project).

Largest 10 diffraction maxima, sorted by position, 2θ = 5–70°:
(2 0 1), 21.60 deg, I 94; (0 1 1), 22.61 deg, I 100; (2 1 1), 28.05 deg, I 29; (2 0 2), 32.75 deg, I 60; (4 0 0), 33.12 deg, I 27; (0 2 0), 35.83 deg, I 53; (4 0 1), 36.10 deg, I 21; (2 1 2), 37.46 deg, I 18; (2 2 2), 49.32 deg, I 19; (6 0 2), 58.93 deg, I 32

Crystal structure
a b c (Å): 10.819 5.013 6.339
angles (deg): 90.00 90.00 90.00
Fractional positions:
Li1 0.077 0.199 0.000
Li2 0.166 0.805 0.250
Li3 0.334 0.305 0.750
Li4 0.423 0.699 0.500
Li5 0.577 0.301 0.000
Li6 0.666 0.695 0.250
Li7 0.834 0.195 0.750
Li8 0.923 0.801 0.500
Cu1 0.168 0.796 0.747
Cu2 0.332 0.296 0.247
Cu3 0.668 0.704 0.747
Cu4 0.832 0.204 0.247
Si1 0.085 0.310 0.497
Si2 0.415 0.810 0.997
Si3 0.585 0.190 0.497
Si4 0.915 0.690 0.997
O1 0.059 0.796 0.997
O2 0.087 0.639 0.496
O3 0.157 0.203 0.284
O4 0.158 0.203 0.712
O5 0.342 0.703 0.212
O6 0.343 0.703 0.784
O7 0.413 0.139 0.996
O8 0.441 0.296 0.497
O9 0.559 0.704 0.997
O10 0.587 0.861 0.496
O11 0.657 0.297 0.284
O12 0.658 0.297 0.712
O13 0.842 0.797 0.212
O14 0.843 0.797 0.784
O15 0.913 0.361 0.996
O16 0.941 0.204 0.497

=====

(2)
# TlCu4Se3
Computed powder X-ray diffraction pattern, λ = 1.5418 Å (Cu Kα). Input: a DFT-relaxed cell (PBE, the Materials Project).

Largest 10 diffraction maxima, sorted by position, 2θ = 5–70°:
(0 4 0), 27.60 deg, I 80; (4 0 0), 28.46 deg, I 66; (2 2 1), 30.12 deg, I 100; (3 1 1), 31.95 deg, I 57; (1 4 1), 36.65 deg, I 31; (2 5 0), 37.64 deg, I 32; (4 5 0), 45.47 deg, I 31; (0 0 2), 46.02 deg, I 53; (2 6 1), 50.41 deg, I 65; (6 2 1), 51.45 deg, I 27

Crystal structure
a b c (Å): 12.543 12.927 3.945
angles (deg): 90.00 90.00 90.00
Fractional positions:
Tl1 0.105 0.128 0.000
Tl2 0.395 0.628 0.500
Tl3 0.605 0.372 0.500
Tl4 0.895 0.872 0.000
Cu1 0.086 0.730 0.500
Cu2 0.097 0.540 0.500
Cu3 0.185 0.421 0.000
Cu4 0.195 0.826 0.000
Cu5 0.305 0.326 0.500
Cu6 0.315 0.921 0.500
Cu7 0.403 0.040 0.000
Cu8 0.414 0.230 0.000
Cu9 0.586 0.770 0.000
Cu10 0.597 0.960 0.000
Cu11 0.685 0.079 0.500
Cu12 0.695 0.674 0.500
Cu13 0.805 0.174 0.000
Cu14 0.815 0.579 0.000
Cu15 0.903 0.460 0.500
Cu16 0.914 0.270 0.500
Se1 0.093 0.356 0.500
Se2 0.120 0.911 0.500
Se3 0.179 0.632 0.000
Se4 0.321 0.132 0.500
Se5 0.380 0.411 0.000
Se6 0.407 0.856 0.000
Se7 0.593 0.144 0.000
Se8 0.620 0.589 0.000
Se9 0.679 0.868 0.500
Se10 0.821 0.368 0.000
Se11 0.880 0.089 0.500
Se12 0.907 0.644 0.500